Structure and computed powder diffraction line list of K3VNi (the PBE geometry in Alexandria; Cu Kα (weighted mean of Kα1 and Kα2)).
No peak broadening, texture or thermal motion is included.

Main lines, by angle (10° ≤ 2θ ≤ 80°):
2θ/deg	intensity	(hkl)
14.5	29	1 0 0
20.6	47	1 1 0
25.3	42	1 1 1
29.2	100	2 0 0
32.8	16	2 1 0
36.0	22	2 1 1
41.8	70	2 2 0
51.8	23	2 2 2
68.7	27	4 2 0
76.4	20	4 2 2

abc: 6.109 6.109 6.109
angles: 90.00 90.00 90.00
Fractional positions:
K 0.000 0.000 0.500
K 0.000 0.500 0.000
K 0.500 0.000 0.000
V 0.500 0.500 0.500
Ni 0.000 0.000 0.000